# 1
Structure and theoretical X-ray powder pattern of Li5Ti2Fe5O12 (the GGA+U geometry in the Materials Project; Cu Kα X-rays).
Kinematic intensities with the Lorentz-polarization factor, no thermal factor.

```
data_Li5Ti2Fe5O12
_space_group_name_H-M_alt 'C 1 2 1'
_space_group_IT_number 5
_cell_length_a 5.1644
_cell_length_b 9.1579
_cell_length_c 10.0303
_cell_angle_alpha 90.00
_cell_angle_beta 101.48
_cell_angle_gamma 90.00
loop_
_space_group_symop_operation_xyz
'x,y,z'
'-x,y,-z'
'x+1/2,y+1/2,z'
'-x+1/2,y+1/2,-z'
loop_
_atom_site_label
_atom_site_type_symbol
_atom_site_fract_x
_atom_site_fract_y
_atom_site_fract_z
_atom_site_occupancy
Li1 Li 0.0000 0.0000 0.0000 1
Li2 Li 0.2472 0.8403 0.2448 1
Li3 Li 0.2479 0.0026 0.7536 1
Ti1 Ti 0.0000 0.1740 0.5000 1
Ti2 Ti 0.0000 0.6682 0.0000 1
Fe1 Fe 0.0000 0.3393 0.0000 1
Fe2 Fe 0.0000 0.5012 0.5000 1
Fe3 Fe 0.0000 0.8430 0.5000 1
Fe4 Fe 0.2495 0.1661 0.2481 1
O1 O 0.1034 0.0170 0.3798 1
O2 O 0.1043 0.3253 0.3815 1
O3 O 0.1050 0.5082 0.8862 1
O4 O 0.1280 0.8232 0.8858 1
O5 O 0.1319 0.6716 0.3821 1
O6 O 0.1372 0.1786 0.8856 1
```

Principal peaks in the range 2θ from 10° to 80°, low angle first:
index, two_theta, I (rel.)
0 0 2, 18.0, 35
0 2 0, 19.4, 19
1 1 -1, 20.5, 19
1 1 1, 23.4, 26
2 0 -2, 36.5, 31
1 3 -3, 41.9, 100
2 0 2, 43.4, 46
1 3 5, 61.9, 52

# 2
Structure and theoretical X-ray powder pattern of Li3NbCo4O8 (the GGA+U geometry in the Materials Project; Cu Kα X-rays).
Kinematic intensities with the Lorentz-polarization factor, no thermal factor.

```
data_Li3NbCo4O8
_space_group_name_H-M_alt 'C 1 2/m 1'
_space_group_IT_number 12
_cell_length_a 10.3767
_cell_length_b 6.1067
_cell_length_c 6.1241
_cell_angle_alpha 90.00
_cell_angle_beta 126.03
_cell_angle_gamma 90.00
loop_
_space_group_symop_operation_xyz
'x,y,z'
'-x,-y,-z'
'-x,y,-z'
'x,-y,z'
'x+1/2,y+1/2,z'
'-x+1/2,-y+1/2,-z'
'-x+1/2,y+1/2,-z'
'x+1/2,-y+1/2,z'
loop_
_atom_site_label
_atom_site_type_symbol
_atom_site_fract_x
_atom_site_fract_y
_atom_site_fract_z
_atom_site_occupancy
Li1 Li 0.0000 0.0000 0.0000 1
Li2 Li 0.2500 0.2500 0.5000 1
Nb1 Nb 0.0000 0.5000 0.5000 1
Co1 Co 0.0000 0.0000 0.5000 1
Co2 Co 0.0000 0.5000 0.0000 1
Co3 Co 0.2500 0.2500 0.0000 1
O1 O 0.0039 0.2625 0.2668 1
O2 O 0.2402 0.5000 0.7403 1
O3 O 0.2500 0.0000 0.7685 1
```

Principal peaks in the range 2θ from 10° to 80°, low angle first:
index, two_theta, I (rel.)
2 0 -1, 18.0, 100
0 2 1, 34.5, 31
0 0 2, 36.3, 26
2 2 0, 36.4, 26
2 2 -2, 41.8, 78
4 0 0, 43.1, 36
2 2 2, 61.5, 21
6 2 -2, 61.7, 21

# 3
Structure and theoretical X-ray powder pattern of MgMn2Tl2O6 (the GGA+U geometry in the Materials Project; Cu Kα X-rays).
Kinematic intensities with the Lorentz-polarization factor, no thermal factor.

```
data_MgMn2Tl2O6
_space_group_name_H-M_alt 'P 1'
_space_group_IT_number 1
_cell_length_a 5.1980
_cell_length_b 5.1982
_cell_length_c 8.0758
_cell_angle_alpha 71.30
_cell_angle_beta 89.98
_cell_angle_gamma 60.01
loop_
_space_group_symop_operation_xyz
'x,y,z'
loop_
_atom_site_label
_atom_site_type_symbol
_atom_site_fract_x
_atom_site_fract_y
_atom_site_fract_z
_atom_site_occupancy
Mg1 Mg 0.0000 0.0000 0.0000 1
Mn1 Mn 0.5624 0.8758 0.6847 1
Mn2 Mn 0.8875 0.2256 0.6598 1
Tl1 Tl 0.1261 0.7491 0.3733 1
Tl2 Tl 0.3344 0.3315 0.0025 1
O1 O 0.1878 0.2590 0.5374 1
O2 O 0.2650 0.8431 0.8292 1
O3 O 0.5540 0.6476 0.5374 1
O4 O 0.6733 0.0620 0.8291 1
O5 O 0.7992 0.0138 0.5375 1
O6 O 0.8923 0.4348 0.8292 1
```

Principal peaks in the range 2θ from 10° to 80°, low angle first:
index, two_theta, I (rel.)
1 0 0, 20.1, 65
0 1 2, 25.3, 100
0 1 -1, 28.0, 90
2 1 0, 34.5, 70
2 0 -2, 43.3, 23
2 0 1, 45.0, 38
1 2 4, 50.7, 57
1 -2 0, 57.9, 28

# 4
Structure and theoretical X-ray powder pattern of Li9Mn7O16 (the GGA+U geometry in the Materials Project; Cu Kα X-rays).
Kinematic intensities with the Lorentz-polarization factor, no thermal factor.

```
data_Li9Mn7O16
_space_group_name_H-M_alt 'C 1 2/m 1'
_space_group_IT_number 12
_cell_length_a 10.5464
_cell_length_b 11.5068
_cell_length_c 5.3405
_cell_angle_alpha 90.00
_cell_angle_beta 113.28
_cell_angle_gamma 90.00
loop_
_space_group_symop_operation_xyz
'x,y,z'
'-x,-y,-z'
'-x,y,-z'
'x,-y,z'
'x+1/2,y+1/2,z'
'-x+1/2,-y+1/2,-z'
'-x+1/2,y+1/2,-z'
'x+1/2,-y+1/2,z'
loop_
_atom_site_label
_atom_site_type_symbol
_atom_site_fract_x
_atom_site_fract_y
_atom_site_fract_z
_atom_site_occupancy
Li1 Li 0.0000 0.0000 0.0000 1
Li2 Li 0.2418 0.0000 0.4905 1
Li3 Li 0.2504 0.1228 0.9929 1
Li4 Li 0.2500 0.2500 0.5000 1
Mn1 Mn 0.0000 0.1245 0.5000 1
Mn2 Mn 0.0000 0.2464 0.0000 1
Mn3 Mn 0.0000 0.3743 0.5000 1
Mn4 Mn 0.0000 0.5000 0.0000 1
O1 O 0.1048 0.1304 0.2666 1
O2 O 0.1159 0.0000 0.7189 1
O3 O 0.1158 0.3751 0.2242 1
O4 O 0.1172 0.2489 0.7256 1
O5 O 0.1206 0.5000 0.7231 1
```

Principal peaks in the range 2θ from 10° to 80°, low angle first:
index, two_theta, I (rel.)
2 0 0, 18.3, 100
2 0 -2, 33.8, 18
0 4 1, 36.2, 24
4 0 -2, 40.7, 35
2 4 1, 44.2, 55
4 4 1, 58.3, 10
2 4 -3, 61.3, 17
6 4 -1, 62.0, 16

# 5
Structure and theoretical X-ray powder pattern of Li3AlFe2O6 (the GGA+U geometry in the Materials Project; Cu Kα X-rays).
Kinematic intensities with the Lorentz-polarization factor, no thermal factor.

```
data_Li3AlFe2O6
_space_group_name_H-M_alt 'P 1 21/c 1'
_space_group_IT_number 14
_cell_length_a 5.9468
_cell_length_b 10.3486
_cell_length_c 10.0907
_cell_angle_alpha 90.00
_cell_angle_beta 125.50
_cell_angle_gamma 90.00
loop_
_space_group_symop_operation_xyz
'x,y,z'
'-x,-y,-z'
'-x,y+1/2,-z+1/2'
'x,-y+1/2,z+1/2'
loop_
_atom_site_label
_atom_site_type_symbol
_atom_site_fract_x
_atom_site_fract_y
_atom_site_fract_z
_atom_site_occupancy
Li1 Li 0.0212 0.0022 0.3639 1
Li2 Li 0.0569 0.1580 0.8761 1
Li3 Li 0.4647 0.5029 0.6161 1
Al1 Al 0.4606 0.1675 0.6265 1
Fe1 Fe 0.0491 0.6662 0.3786 1
Fe2 Fe 0.4527 0.6535 0.1269 1
O1 O 0.1966 0.5123 0.3765 1
O2 O 0.2321 0.1695 0.3835 1
O3 O 0.2338 0.6718 0.8806 1
O4 O 0.2924 0.6830 0.6331 1
O5 O 0.2956 0.1819 0.1292 1
O6 O 0.3186 0.0146 0.6289 1
```

Principal peaks in the range 2θ from 10° to 80°, low angle first:
index, two_theta, I (rel.)
0 2 0, 17.2, 81
0 2 1, 20.3, 57
1 1 -2, 20.4, 72
1 1 1, 27.6, 36
1 3 -1, 29.9, 100
2 0 -2, 30.1, 57
0 0 4, 44.1, 66
3 3 -3, 53.3, 64